Record 1
This entry pairs a crystal structure of AcAsH2Au with its computed PXRD pattern. Radiation: copper Kα. Structure: a GGA-PBE-relaxed structure.
Neutral-atom scattering factors, no anomalous dispersion.

```
data_AcAsH2Au
_cell_length_a 4.164
_cell_length_b 4.164
_cell_length_c 5.462
_cell_angle_alpha 90.00
_cell_angle_beta 90.00
_cell_angle_gamma 90.00
_space_group_name_H-M_alt 'P 4 m m'
_space_group_IT_number 99
loop_
_space_group_symop_operation_xyz
'x,y,z'
'-y,x,z'
'-x,-y,z'
'y,-x,z'
'-x,y,z'
'y,x,z'
'x,-y,z'
'-y,-x,z'
loop_
_atom_site_label
_atom_site_type_symbol
_atom_site_fract_x
_atom_site_fract_y
_atom_site_fract_z
Ac1 Ac 0.000 0.000 0.000
As1 As 0.500 0.500 0.817
H1 H 0.000 0.500 0.326
Au1 Au 0.500 0.500 0.333
```

Peak list (12 most intense, 15° ≤ 2θ ≤ 90°, sorted by position)
| 2θ (°) | Rel. int. | hkl |
| --- | --- | --- |
| 16.23 | 30 | 0 0 1 |
| 26.92 | 100 | 1 0 1 |
| 30.35 | 98 | 1 1 0 |
| 34.61 | 19 | 1 1 1 |
| 39.46 | 77 | 1 0 2 |
| 43.46 | 38 | 2 0 0 |
| 45.29 | 15 | 1 1 2 |
| 51.87 | 35 | 2 1 1 |
| 59.71 | 15 | 1 1 3 |
| 60.14 | 45 | 2 1 2 |
| 71.66 | 17 | 3 1 0 |
| 88.86 | 14 | 2 1 4 |


Record 2
This entry pairs a crystal structure of LiMg3Pb3 with its computed PXRD pattern. Radiation: copper Kα. Structure: a GGA-PBE-relaxed structure.
Neutral-atom scattering factors, no anomalous dispersion.

```
data_LiMg3Pb3
_cell_length_a 9.893
_cell_length_b 10.244
_cell_length_c 7.131
_cell_angle_alpha 90.00
_cell_angle_beta 90.00
_cell_angle_gamma 90.00
_space_group_name_H-M_alt 'C m m m'
_space_group_IT_number 65
_space_group_name_Hall '-C 2 2'
loop_
_atom_site_label
_atom_site_type_symbol
_atom_site_fract_x
_atom_site_fract_y
_atom_site_fract_z
Li1 Li 0.000 0.246 0.000
Mg1 Mg 0.000 0.265 0.500
Mg2 Mg 0.163 0.500 0.000
Mg3 Mg 0.202 0.500 0.500
Pb1 Pb 0.000 0.000 0.252
Pb2 Pb 0.250 0.250 0.241
```

Peak list (12 most intense, 15° ≤ 2θ ≤ 90°, sorted by position)
| 2θ (°) | Rel. int. | hkl |
| --- | --- | --- |
| 17.93 | 11 | 2 0 0 |
| 25.01 | 100 | 2 2 0 |
| 27.99 | 19 | 1 1 2 |
| 35.04 | 24 | 0 4 0 |
| 35.65 | 85 | 2 2 2 |
| 36.32 | 18 | 4 0 0 |
| 43.51 | 15 | 0 4 2 |
| 44.59 | 17 | 4 0 2 |
| 51.36 | 14 | 4 4 0 |
| 57.89 | 30 | 4 4 2 |
| 63.25 | 16 | 2 6 2 |
| 64.91 | 13 | 6 2 2 |


Record 3
This entry pairs a crystal structure of Er5TmTh3 with its computed PXRD pattern. Radiation: copper Kα. Structure: a GGA-PBE-relaxed structure.
Neutral-atom scattering factors, no anomalous dispersion.

```
data_Er5TmTh3
_cell_length_a 12.434
_cell_length_b 8.173
_cell_length_c 12.276
_cell_angle_alpha 90.00
_cell_angle_beta 96.48
_cell_angle_gamma 90.00
_space_group_name_H-M_alt 'C 1 2/m 1'
_space_group_IT_number 12
loop_
_space_group_symop_operation_xyz
'x,y,z'
'-x,-y,-z'
'-x,y,-z'
'x,-y,z'
'x+1/2,y+1/2,z'
'-x+1/2,-y+1/2,-z'
'-x+1/2,y+1/2,-z'
'x+1/2,-y+1/2,z'
loop_
_atom_site_label
_atom_site_type_symbol
_atom_site_fract_x
_atom_site_fract_y
_atom_site_fract_z
Er1 Er 0.000 0.171 0.000
Er2 Er 0.058 0.000 0.621
Er3 Er 0.133 0.305 0.776
Er4 Er 0.243 0.000 0.977
Tm1 Tm 0.140 0.500 0.267
Th1 Th 0.000 0.500 0.000
Th2 Th 0.000 0.500 0.500
Th3 Th 0.122 0.000 0.217
Th4 Th 0.240 0.000 0.455
```

Peak list (12 most intense, 15° ≤ 2θ ≤ 90°, sorted by position)
| 2θ (°) | Rel. int. | hkl |
| --- | --- | --- |
| 21.75 | 60 | 0 2 0 |
| 27.61 | 53 | 2 2 1 |
| 29.29 | 45 | 0 0 4 |
| 29.60 | 42 | 3 1 2 |
| 30.94 | 100 | 4 0 -2 |
| 31.38 | 51 | 1 1 -4 |
| 33.23 | 28 | 2 2 -3 |
| 33.98 | 38 | 4 0 2 |
| 36.51 | 36 | 1 3 -2 |
| 38.13 | 30 | 4 2 -2 |
| 38.39 | 22 | 1 1 -5 |
| 44.32 | 26 | 0 4 0 |


Record 4
This entry pairs a crystal structure of CeNd2H with its computed PXRD pattern. Radiation: copper Kα. Structure: a GGA-PBE-relaxed structure.
Neutral-atom scattering factors, no anomalous dispersion.

```
data_CeNd2H
_cell_length_a 3.4995
_cell_length_b 3.4995
_cell_length_c 28.6848
_cell_angle_alpha 90.00
_cell_angle_beta 90.00
_cell_angle_gamma 120.00
_space_group_name_H-M_alt 'R -3 m'
_space_group_IT_number 166
_space_group_name_Hall '-R 3 2"'
loop_
_atom_site_label
_atom_site_type_symbol
_atom_site_fract_x
_atom_site_fract_y
_atom_site_fract_z
Ce1 Ce 0.0000 0.0000 0.0000
Nd1 Nd 0.0000 0.0000 0.1156
H1 H 0.0000 0.0000 0.5000
```

Peak list (12 most intense, 15° ≤ 2θ ≤ 90°, sorted by position)
| 2θ (°) | Rel. int. | hkl |
| --- | --- | --- |
| 28.00 | 54 | 0 0 9 |
| 29.64 | 100 | 1 0 1 |
| 30.14 | 23 | 0 1 2 |
| 32.06 | 13 | 1 0 4 |
| 36.89 | 26 | 1 0 7 |
| 38.91 | 61 | 0 1 8 |
| 43.44 | 26 | 1 0 10 |
| 52.28 | 30 | 1 1 0 |
| 60.35 | 37 | 1 1 9 |
| 61.26 | 13 | 0 2 1 |
| 63.06 | 16 | 0 1 17 |
| 81.74 | 14 | 1 1 18 |


Record 5
This entry pairs a crystal structure of Pu2Br5 with its computed PXRD pattern. Radiation: copper Kα. Structure: a GGA-PBE-relaxed structure.
Neutral-atom scattering factors, no anomalous dispersion.

```
data_Pu2Br5
_cell_length_a 16.139
_cell_length_b 6.882
_cell_length_c 7.734
_cell_angle_alpha 90.00
_cell_angle_beta 97.19
_cell_angle_gamma 90.00
_space_group_name_H-M_alt 'C 1 2/c 1'
_space_group_IT_number 15
loop_
_space_group_symop_operation_xyz
'x,y,z'
'-x,-y,-z'
'-x,y,-z+1/2'
'x,-y,z+1/2'
'x+1/2,y+1/2,z'
'-x+1/2,-y+1/2,-z'
'-x+1/2,y+1/2,-z+1/2'
'x+1/2,-y+1/2,z+1/2'
loop_
_atom_site_label
_atom_site_type_symbol
_atom_site_fract_x
_atom_site_fract_y
_atom_site_fract_z
Pu1 Pu 0.113 0.225 0.085
Br1 Br 0.000 0.071 0.750
Br2 Br 0.087 0.382 0.429
Br3 Br 0.218 0.081 0.819
```

Peak list (12 most intense, 15° ≤ 2θ ≤ 90°, sorted by position)
| 2θ (°) | Rel. int. | hkl |
| --- | --- | --- |
| 18.62 | 100 | 1 1 1 |
| 22.21 | 23 | 4 0 0 |
| 23.04 | 39 | 3 1 -1 |
| 24.44 | 18 | 2 0 -2 |
| 31.13 | 16 | 2 2 1 |
| 34.24 | 39 | 5 1 1 |
| 34.36 | 57 | 4 0 2 |
| 35.90 | 24 | 2 2 -2 |
| 37.27 | 37 | 1 1 -3 |
| 38.61 | 39 | 6 0 -2 |
| 41.68 | 16 | 1 3 1 |
| 43.99 | 24 | 3 3 -1 |


Record 6
This entry pairs a crystal structure of Cu3NiAu3 with its computed PXRD pattern. Radiation: copper Kα. Structure: a GGA-PBE-relaxed structure.
Neutral-atom scattering factors, no anomalous dispersion.

```
data_Cu3NiAu3
_cell_length_a 7.516
_cell_length_b 7.904
_cell_length_c 7.439
_cell_angle_alpha 90.00
_cell_angle_beta 90.00
_cell_angle_gamma 90.00
_space_group_name_H-M_alt 'C m m m'
_space_group_IT_number 65
_space_group_name_Hall '-C 2 2'
loop_
_atom_site_label
_atom_site_type_symbol
_atom_site_fract_x
_atom_site_fract_y
_atom_site_fract_z
Cu1 Cu 0.000 0.248 0.000
Cu2 Cu 0.209 0.000 0.500
Cu3 Cu 0.233 0.000 0.000
Ni1 Ni 0.000 0.248 0.500
Au1 Au 0.000 0.500 0.262
Au2 Au 0.250 0.250 0.250
```

Peak list (12 most intense, 15° ≤ 2θ ≤ 90°, sorted by position)
| 2θ (°) | Rel. int. | hkl |
| --- | --- | --- |
| 16.27 | 19 | 1 1 0 |
| 23.92 | 13 | 0 0 2 |
| 29.07 | 17 | 1 1 2 |
| 32.89 | 14 | 2 2 0 |
| 41.08 | 100 | 2 2 2 |
| 45.93 | 19 | 0 4 0 |
| 48.45 | 15 | 4 0 0 |
| 48.98 | 15 | 0 0 4 |
| 69.39 | 10 | 0 4 4 |
| 81.66 | 13 | 2 6 2 |
| 85.39 | 10 | 6 2 2 |
| 86.19 | 11 | 2 2 6 |


Record 7
This entry pairs a crystal structure of Sn2Pd4Au with its computed PXRD pattern. Radiation: copper Kα. Structure: a GGA-PBE-relaxed structure.
Neutral-atom scattering factors, no anomalous dispersion.

```
data_Sn2Pd4Au
_cell_length_a 6.960
_cell_length_b 5.622
_cell_length_c 7.012
_cell_angle_alpha 90.00
_cell_angle_beta 111.29
_cell_angle_gamma 90.00
_space_group_name_H-M_alt 'P 1 21/m 1'
_space_group_IT_number 11
loop_
_space_group_symop_operation_xyz
'x,y,z'
'-x,-y,-z'
'-x,y+1/2,-z'
'x,-y+1/2,z'
loop_
_atom_site_label
_atom_site_type_symbol
_atom_site_fract_x
_atom_site_fract_y
_atom_site_fract_z
Sn1 Sn 0.097 0.250 0.340
Sn2 Sn 0.370 0.750 0.074
Pd1 Pd 0.267 0.505 0.704
Pd2 Pd 0.316 0.250 0.091
Pd3 Pd 0.483 0.750 0.485
Au1 Au 0.063 0.750 0.243
```

Peak list (12 most intense, 15° ≤ 2θ ≤ 90°, sorted by position)
| 2θ (°) | Rel. int. | hkl |
| --- | --- | --- |
| 31.84 | 53 | 0 2 0 |
| 34.96 | 100 | 1 0 2 |
| 35.53 | 58 | 1 2 -1 |
| 38.53 | 29 | 1 0 -3 |
| 38.84 | 94 | 3 0 -1 |
| 39.37 | 73 | 1 2 1 |
| 40.66 | 48 | 2 0 -3 |
| 41.35 | 49 | 1 2 -2 |
| 42.56 | 42 | 2 2 0 |
| 45.04 | 51 | 2 2 -2 |
| 48.04 | 48 | 1 2 2 |
| 66.54 | 32 | 0 4 0 |


Record 8
This entry pairs a crystal structure of Tm3Ge13Pt4 with its computed PXRD pattern. Radiation: copper Kα. Structure: a GGA-PBE-relaxed structure.
Neutral-atom scattering factors, no anomalous dispersion.

```
data_Tm3Ge13Pt4
_cell_length_a 12.8131
_cell_length_b 12.8131
_cell_length_c 15.7785
_cell_angle_alpha 90.00
_cell_angle_beta 90.00
_cell_angle_gamma 120.00
_space_group_name_H-M_alt 'R 3 c'
_space_group_IT_number 161
_space_group_name_Hall 'R 3 -2"c'
loop_
_atom_site_label
_atom_site_type_symbol
_atom_site_fract_x
_atom_site_fract_y
_atom_site_fract_z
Tm1 Tm 0.0844 0.4157 0.0000
Ge1 Ge 0.0000 0.0000 0.0870
Ge2 Ge 0.0049 0.1775 0.9120
Ge3 Ge 0.0497 0.2078 0.5334
Ge4 Ge 0.1006 0.3704 0.8109
Ge5 Ge 0.1494 0.0161 0.7171
Pt1 Pt 0.0000 0.0000 0.3343
Pt2 Pt 0.0001 0.4967 0.8321
```

Peak list (12 most intense, 15° ≤ 2θ ≤ 90°, sorted by position)
| 2θ (°) | Rel. int. | hkl |
| --- | --- | --- |
| 19.56 | 56 | 2 0 2 |
| 27.75 | 24 | 0 2 4 |
| 34.09 | 30 | 0 0 6 |
| 34.26 | 100 | 0 4 2 |
| 35.60 | 66 | 1 2 5 |
| 35.73 | 57 | 3 2 1 |
| 36.99 | 28 | 1 1 6 |
| 37.12 | 24 | 2 3 2 |
| 39.72 | 93 | 4 0 4 |
| 44.58 | 31 | 2 2 6 |
| 49.23 | 63 | 6 0 0 |
| 68.61 | 29 | 4 4 6 |


Record 9
This entry pairs a crystal structure of LaTm5Hg6 with its computed PXRD pattern. Radiation: copper Kα. Structure: a GGA-PBE-relaxed structure.
Neutral-atom scattering factors, no anomalous dispersion.

```
data_LaTm5Hg6
_cell_length_a 5.217
_cell_length_b 7.472
_cell_length_c 8.322
_cell_angle_alpha 90.00
_cell_angle_beta 108.09
_cell_angle_gamma 90.00
_space_group_name_H-M_alt 'P 1 2/m 1'
_space_group_IT_number 10
loop_
_space_group_symop_operation_xyz
'x,y,z'
'-x,-y,-z'
'-x,y,-z'
'x,-y,z'
loop_
_atom_site_label
_atom_site_type_symbol
_atom_site_fract_x
_atom_site_fract_y
_atom_site_fract_z
La1 La 0.000 0.000 0.000
Tm1 Tm 0.000 0.500 0.000
Tm2 Tm 0.329 0.000 0.659
Tm3 Tm 0.338 0.500 0.675
Hg1 Hg 0.172 0.261 0.345
Hg2 Hg 0.500 0.261 0.000
```

Peak list (12 most intense, 15° ≤ 2θ ≤ 90°, sorted by position)
| 2θ (°) | Rel. int. | hkl |
| --- | --- | --- |
| 34.05 | 100 | 1 2 1 |
| 34.38 | 20 | 2 0 -1 |
| 48.75 | 7 | 0 4 0 |
| 49.05 | 7 | 2 0 2 |
| 49.21 | 7 | 2 0 -4 |
| 60.77 | 7 | 0 4 3 |
| 60.84 | 7 | 1 2 4 |
| 60.98 | 15 | 2 4 -1 |
| 61.33 | 7 | 3 2 0 |
| 61.43 | 7 | 3 2 -3 |
| 71.63 | 7 | 2 4 2 |
| 81.99 | 5 | 3 2 3 |


Record 10
This entry pairs a crystal structure of YTm8Sc3 with its computed PXRD pattern. Radiation: copper Kα. Structure: a GGA-PBE-relaxed structure.
Neutral-atom scattering factors, no anomalous dispersion.

```
data_YTm8Sc3
_cell_length_a 6.311
_cell_length_b 10.787
_cell_length_c 11.132
_cell_angle_alpha 90.00
_cell_angle_beta 90.00
_cell_angle_gamma 90.00
_space_group_name_H-M_alt 'I m m m'
_space_group_IT_number 71
_space_group_name_Hall '-I 2 2'
loop_
_atom_site_label
_atom_site_type_symbol
_atom_site_fract_x
_atom_site_fract_y
_atom_site_fract_z
Y1 Y 0.000 0.000 0.000
Tm1 Tm 0.000 0.165 0.252
Tm2 Tm 0.241 0.269 0.000
Sc1 Sc 0.000 0.000 0.500
Sc2 Sc 0.000 0.500 0.230
```

Peak list (12 most intense, 15° ≤ 2θ ≤ 90°, sorted by position)
| 2θ (°) | Rel. int. | hkl |
| --- | --- | --- |
| 16.27 | 42 | 1 1 0 |
| 16.44 | 74 | 0 2 0 |
| 28.57 | 28 | 1 3 0 |
| 32.16 | 66 | 0 0 4 |
| 32.62 | 87 | 2 0 2 |
| 32.88 | 100 | 1 3 2 |
| 36.30 | 35 | 0 2 4 |
| 36.73 | 79 | 2 2 2 |
| 37.04 | 38 | 0 4 2 |
| 53.05 | 19 | 3 3 2 |
| 60.36 | 20 | 2 2 6 |
| 68.94 | 24 | 2 6 4 |


Record 11
This entry pairs a crystal structure of SmTiPd6 with its computed PXRD pattern. Radiation: copper Kα. Structure: a GGA-PBE-relaxed structure.
Neutral-atom scattering factors, no anomalous dispersion.

```
data_SmTiPd6
_cell_length_a 4.056
_cell_length_b 4.056
_cell_length_c 8.077
_cell_angle_alpha 90.00
_cell_angle_beta 90.00
_cell_angle_gamma 90.00
_space_group_name_H-M_alt 'P 4/m m m'
_space_group_IT_number 123
_space_group_name_Hall '-P 4 2'
loop_
_atom_site_label
_atom_site_type_symbol
_atom_site_fract_x
_atom_site_fract_y
_atom_site_fract_z
Sm1 Sm 0.000 0.000 0.000
Ti1 Ti 0.000 0.000 0.500
Pd1 Pd 0.000 0.500 0.270
Pd2 Pd 0.500 0.500 0.000
Pd3 Pd 0.500 0.500 0.500
```

Peak list (12 most intense, 15° ≤ 2θ ≤ 90°, sorted by position)
| 2θ (°) | Rel. int. | hkl |
| --- | --- | --- |
| 24.56 | 5 | 1 0 1 |
| 33.14 | 5 | 1 1 1 |
| 33.28 | 4 | 0 0 3 |
| 38.50 | 100 | 1 1 2 |
| 44.68 | 34 | 2 0 0 |
| 44.89 | 15 | 0 0 4 |
| 65.03 | 11 | 2 2 0 |
| 65.20 | 19 | 2 0 4 |
| 66.42 | 4 | 1 1 5 |
| 78.19 | 24 | 3 1 2 |
| 78.49 | 9 | 1 1 6 |
| 82.50 | 10 | 2 2 4 |


Record 12
This entry pairs a crystal structure of RbCoP3 with its computed PXRD pattern. Radiation: copper Kα. Structure: a GGA-PBE-relaxed structure.
Neutral-atom scattering factors, no anomalous dispersion.

```
data_RbCoP3
_cell_length_a 4.618
_cell_length_b 4.618
_cell_length_c 4.618
_cell_angle_alpha 90.00
_cell_angle_beta 90.00
_cell_angle_gamma 90.00
_space_group_name_H-M_alt 'P m -3 m'
_space_group_IT_number 221
_space_group_name_Hall '-P 4 2 3'
loop_
_atom_site_label
_atom_site_type_symbol
_atom_site_fract_x
_atom_site_fract_y
_atom_site_fract_z
Rb1 Rb 0.000 0.000 0.000
Co1 Co 0.500 0.500 0.500
P1 P 0.000 0.500 0.500
```

Peak list (11 most intense, 15° ≤ 2θ ≤ 90°, sorted by position)
| 2θ (°) | Rel. int. | hkl |
| --- | --- | --- |
| 19.22 | 1 | 1 0 0 |
| 27.31 | 100 | 1 1 0 |
| 33.61 | 38 | 1 1 1 |
| 39.01 | 79 | 2 0 0 |
| 48.27 | 41 | 2 1 1 |
| 56.35 | 51 | 2 2 0 |
| 63.73 | 17 | 3 1 0 |
| 67.24 | 14 | 3 1 1 |
| 70.66 | 17 | 2 2 2 |
| 77.31 | 19 | 3 2 1 |
| 83.79 | 8 | 4 0 0 |


What is the formula in the third record? Er5TmTh3